# LaGa2
Theoretical powder diffraction line list, copper Kα. Input: a cell relaxed with GGA-PBE.

Crystal structure
```
LaGa2
1.0
6.1728 0.0000 0.0000
0.0000 6.1728 0.0000
-3.0816 0.0000 7.5657
La Ga
4 8
Direct
0.0000 0.1248 0.2500
0.0000 0.8752 0.7500
0.5000 0.3752 0.7500
0.5000 0.6248 0.2500
0.0813 0.3733 0.9160
0.0813 0.6267 0.4160
0.4187 0.1267 0.0840
0.4187 0.8733 0.5840
0.5813 0.1267 0.4160
0.5813 0.8733 0.9160
0.9187 0.3733 0.5840
0.9187 0.6267 0.0840
```

Main lines, low angle first (10° ≤ 2θ ≤ 90°):
d 3.301, 2θ = 27.0°, intensity 30, hkl 1 1 -2; d 2.858, 2θ = 31.3°, intensity 100, hkl 2 0 0; d 2.487, 2θ = 36.1°, intensity 53, hkl 1 1 -3; d 2.182, 2θ = 41.4°, intensity 42, hkl 2 2 -1; d 1.640, 2θ = 56.1°, intensity 29, hkl 1 3 2; d 1.358, 2θ = 69.2°, intensity 29, hkl 4 2 -1